For Ba3Tl2Sb4, the GGA-PBE geometry in Alexandria gives the theoretical powder diffraction line list in this record (Cu Ka).
Lines closer than 0.1° are merged.

Structure:
```
data_Ba3Tl2Sb4
_symmetry_space_group_name_H-M 'P -1'
_symmetry_Int_Tables_number 2
_symmetry_space_group_name_Hall '-P 1'
_cell_length_a 5.0226
_cell_length_b 8.0438
_cell_length_c 9.2525
_cell_angle_alpha 72.94
_cell_angle_beta 74.26
_cell_angle_gamma 89.99
loop_
_atom_site_label
_atom_site_fract_x
_atom_site_fract_y
_atom_site_fract_z
_atom_site_occupancy
Ba1 0.0000 0.0000 0.0000 1
Ba2 0.1374 0.5820 0.7252 1
Tl1 0.3348 0.0110 0.3298 1
Sb1 0.2132 0.2207 0.5744 1
Sb2 0.4953 0.3170 0.0091 1
```

Peak list (12 most intense, 2θ = 10–80°, in order of rising 2θ)
hkl	2θ (°)	I_rel
0 1 0	11.6	18.6
1 1 2	24.2	38.6
0 2 2	26.2	16.8
1 1 -1	28.5	100.0
1 2 2	29.8	41.4
0 1 3	30.2	14.1
0 0 3	31.6	22.1
0 3 0	35.1	12.8
2 0 1	35.8	36.4
1 2 -1	36.8	19.2
1 3 1	38.4	21.9
2 0 4	48.5	13.5